Record 1
CsRbPb3: calculated X-ray diffraction stick pattern (a wavelength of 1.5418 Å), based on a GGA-PBE-relaxed structure.
Intensities are scaled so that the largest is 100.

Structural model:
Cell lengths 6.6140, 6.6140, 20.2792 Å; angles 90.00, 90.00, 120.00 degrees
Space group R3m (No. 160, hexagonal axes)
Asymmetric unit:
1 Cs 0.0000 0.0000 0.0000 (multiplicity 3)
2 Rb 0.0000 0.0000 0.6045 (multiplicity 3)
3 Pb 0.1677 0.3354 0.4445 (multiplicity 9)

Main lines, low angle first (2θ from 10° to 90°):
(0 0 3), 2θ = 13.10°, d = 6.760 Å, I = 100; (0 1 5), 2θ = 26.94°, d = 3.310 Å, I = 47; (1 1 3), 2θ = 30.08°, d = 2.971 Å, I = 55; (0 2 1), 2θ = 31.55°, d = 2.836 Å, I = 71; (2 0 2), 2θ = 32.49°, d = 2.756 Å, I = 89; (2 2 0), 2θ = 55.55°, d = 1.654 Å, I = 49

***

Record 2
Cs2RbTl6Pb: calculated X-ray diffraction stick pattern (a wavelength of 1.5418 Å), based on a GGA-PBE-relaxed structure.
Intensities are scaled so that the largest is 100.

Structural model:
Cell lengths 9.1252, 9.1698, 12.9433 Å; angles 90.00, 90.00, 90.00 degrees
Space group Immm (No. 71)
Asymmetric unit:
1 Cs 0.0000 0.0000 0.2500 (multiplicity 4)
2 Rb 0.0000 0.5000 0.0000 (multiplicity 2)
3 Tl 0.0000 0.5000 0.2694 (multiplicity 4)
4 Tl 0.2310 0.2698 0.5000 (multiplicity 8)
5 Pb 0.0000 0.5000 0.5000 (multiplicity 2)

Main lines, low angle first (2θ from 10° to 90°):
(0 1 1), 2θ = 11.85°, d = 7.470 Å, I = 21; (1 1 0), 2θ = 13.69°, d = 6.469 Å, I = 33; (2 0 2), 2θ = 23.82°, d = 3.735 Å, I = 84; (2 2 0), 2θ = 27.58°, d = 3.235 Å, I = 100; (2 2 4), 2θ = 39.37°, d = 2.288 Å, I = 62; (2 0 6), 2θ = 46.52°, d = 1.952 Å, I = 24

***

Record 3
CsRu3Pb: calculated X-ray diffraction stick pattern (a wavelength of 1.5418 Å), based on a GGA-PBE-relaxed structure.
Intensities are scaled so that the largest is 100.

Structural model:
Cell lengths 5.2063, 5.2063, 5.2063 Å; angles 90.00, 90.00, 90.00 degrees
Space group Pm-3m (No. 221)
Asymmetric unit:
1 Cs 0.0000 0.0000 0.0000 (multiplicity 1)
2 Ru 0.0000 0.5000 0.5000 (multiplicity 3)
3 Pb 0.5000 0.5000 0.5000 (multiplicity 1)

Main lines, low angle first (2θ from 10° to 90°):
(1 0 0), 2θ = 17.03°, d = 5.206 Å, I = 42; (1 1 0), 2θ = 24.18°, d = 3.681 Å, I = 62; (2 0 0), 2θ = 34.45°, d = 2.603 Å, I = 100; (2 1 1), 2θ = 42.53°, d = 2.125 Å, I = 29; (2 2 0), 2θ = 49.52°, d = 1.841 Å, I = 71; (4 2 0), 2θ = 82.94°, d = 1.164 Å, I = 32